Starting from the PBE+U geometry in Alexandria, the powder X-ray diffraction pattern of VCd2O4 was simulated for copper Kα.
Intensities are scaled so that the largest is 100.

Peak list (6 most intense, 2θ = 15–90°, low angle first)
2θ (°)	I/Imax
27.19	21
28.10	36
32.19	100
33.75	49
51.29	32
58.09	34

Crystal structure
a b c (Å): 6.5604 6.5604 8.7130
angles (deg): 90.00 90.00 90.00
Positions (direct):
V: 0.0000 0.2413 0.0000
V: 0.0000 0.7587 0.5000
V: 0.2413 0.0000 0.7500
V: 0.7587 0.0000 0.2500
Cd: 0.2376 0.5000 0.7500
Cd: 0.2541 0.2541 0.3750
Cd: 0.2541 0.7459 0.1250
Cd: 0.5000 0.2376 0.0000
Cd: 0.5000 0.7624 0.5000
Cd: 0.7459 0.2541 0.6250
Cd: 0.7459 0.7459 0.8750
Cd: 0.7624 0.5000 0.2500
O: 0.0143 0.2160 0.7786
O: 0.0143 0.7840 0.7214
O: 0.2160 0.0143 0.9714
O: 0.2160 0.9857 0.5286
O: 0.2178 0.4418 0.0177
O: 0.2178 0.5582 0.4823
O: 0.4418 0.2178 0.7323
O: 0.4418 0.7822 0.7677
O: 0.5582 0.2178 0.2677
O: 0.5582 0.7822 0.2323
O: 0.7822 0.4418 0.9823
O: 0.7822 0.5582 0.5177
O: 0.7840 0.0143 0.0286
O: 0.7840 0.9857 0.4714
O: 0.9857 0.2160 0.2214
O: 0.9857 0.7840 0.2786